# CsCd6
Computed PXRD pattern, Cu Kα. Input: the PBE geometry in Alexandria.
Kinematic intensities with the Lorentz-polarization factor, no thermal factor.

Largest 12 diffraction maxima, by intensity, 15 to 90 degrees two-theta:
two_theta	d [Å]	I (rel.)
26.8	3.323	100
41.5	2.175	61
21.8	4.070	42
44.5	2.035	32
38.3	2.350	31
64.8	1.439	20
71.4	1.320	18
62.5	1.486	18
50.1	1.820	17
52.7	1.735	15
15.4	5.756	14
88.2	1.108	14

Cell and atoms:
```
data_CsCd6
_cell_length_a 8.140
_cell_length_b 8.140
_cell_length_c 8.140
_cell_angle_alpha 90.00
_cell_angle_beta 90.00
_cell_angle_gamma 90.00
_space_group_name_H-M_alt 'I m -3 m'
_space_group_IT_number 229
_space_group_name_Hall '-I 4 2 3'
loop_
_atom_site_label
_atom_site_fract_x
_atom_site_fract_y
_atom_site_fract_z
_atom_site_occupancy
Cs1 0.000 0.000 0.000 1
Cd1 0.000 0.250 0.500 1
```

# PrY2Co2
Computed PXRD pattern, Cu Kα. Input: the PBE geometry in Alexandria.
Kinematic intensities with the Lorentz-polarization factor, no thermal factor.

Largest 12 diffraction maxima, by intensity, 15 to 90 degrees two-theta:
two_theta	d [Å]	I (rel.)
32.2	2.779	100
32.7	2.741	79
29.0	3.074	47
44.3	2.046	38
57.7	1.597	30
44.4	2.038	26
38.0	2.365	26
46.2	1.965	24
36.4	2.468	18
54.0	1.699	16
66.0	1.415	15
61.1	1.518	13

Cell and atoms:
```
data_PrY2Co2
_cell_length_a 3.930
_cell_length_b 14.808
_cell_length_c 4.077
_cell_angle_alpha 90.00
_cell_angle_beta 90.00
_cell_angle_gamma 90.00
_space_group_name_H-M_alt 'C m m m'
_space_group_IT_number 65
_space_group_name_Hall '-C 2 2'
loop_
_atom_site_label
_atom_site_fract_x
_atom_site_fract_y
_atom_site_fract_z
_atom_site_occupancy
Pr1 0.000 0.000 0.000 1
Y1 0.000 0.348 0.500 1
Co1 0.000 0.212 0.000 1
```

# CsBa2PmBr8
Computed PXRD pattern, Cu Kα. Input: the PBE geometry in Alexandria.
Kinematic intensities with the Lorentz-polarization factor, no thermal factor.

Largest 12 diffraction maxima, by intensity, 15 to 90 degrees two-theta:
two_theta	d [Å]	I (rel.)
32.7	2.739	100
17.1	5.172	98
24.6	3.621	58
21.4	4.156	46
32.5	2.759	37
27.1	3.288	36
40.8	2.213	34
39.6	2.277	25
35.4	2.535	24
50.3	1.813	19
34.8	2.581	15
41.4	2.182	13

Cell and atoms:
```
data_CsBa2PmBr8
_cell_length_a 7.253
_cell_length_b 10.142
_cell_length_c 7.379
_cell_angle_alpha 90.00
_cell_angle_beta 90.22
_cell_angle_gamma 90.00
_space_group_name_H-M_alt 'P 1 2/m 1'
_space_group_IT_number 10
loop_
_space_group_symop_operation_xyz
'x,y,z'
'-x,-y,-z'
'-x,y,-z'
'x,-y,z'
loop_
_atom_site_label
_atom_site_fract_x
_atom_site_fract_y
_atom_site_fract_z
_atom_site_occupancy
Cs1 0.000 0.000 0.000 1
Ba1 0.500 0.252 0.500 1
Pm1 0.000 0.500 0.000 1
Br1 0.232 0.297 0.850 1
Br2 0.244 0.500 0.321 1
Br3 0.259 0.000 0.398 1
```